[1]
For Er2Pa3C4, a PBE-relaxed structure gives the computed powder XRD pattern in this record (CuKα).
Neutral-atom scattering factors, no anomalous dispersion.

Principal peaks in the range 10° ≤ 2θ ≤ 90°, by angle:
d = 2.940 Å, I = 52
d = 2.929 Å, I = 49
d = 2.913 Å, I = 100
d = 2.542 Å, I = 81
d = 2.512 Å, I = 40
d = 1.789 Å, I = 43
d = 1.784 Å, I = 28
d = 1.527 Å, I = 30
d = 1.517 Å, I = 22
d = 1.159 Å, I = 19

Crystal structure
a = 6.248 Å, b = 6.248 Å, c = 8.788 Å
α = 118.94°, β = 118.94°, γ = 33.25°
Atoms (fractional coordinates):
Er: 0.108 0.108 0.391
Er: 0.892 0.892 0.609
Pa: 0.301 0.301 0.201
Pa: 0.500 0.500 0.000
Pa: 0.699 0.699 0.799
C: 0.109 0.109 0.913
C: 0.294 0.294 0.707
C: 0.706 0.706 0.293
C: 0.891 0.891 0.087



[2]
For La2PrGeN4, a PBE-relaxed structure gives the computed powder XRD pattern in this record (CuKα).
Neutral-atom scattering factors, no anomalous dispersion.

Principal peaks in the range 10° ≤ 2θ ≤ 90°, by angle:
d = 3.372 Å, I = 55
d = 3.077 Å, I = 35
d = 3.065 Å, I = 100
d = 2.960 Å, I = 45
d = 2.638 Å, I = 40
d = 2.473 Å, I = 70
d = 2.020 Å, I = 23
d = 1.898 Å, I = 18
d = 1.852 Å, I = 21
d = 1.819 Å, I = 25

Crystal structure
a = 6.203 Å, b = 6.203 Å, c = 12.308 Å
α = 90.00°, β = 90.00°, γ = 145.26°
Atoms (fractional coordinates):
La: 0.130 0.870 0.546
La: 0.130 0.870 0.954
La: 0.870 0.130 0.046
La: 0.870 0.130 0.454
Pr: 0.398 0.602 0.750
Pr: 0.602 0.398 0.250
Ge: 0.332 0.668 0.250
Ge: 0.668 0.332 0.750
N: 0.082 0.918 0.750
N: 0.224 0.776 0.135
N: 0.224 0.776 0.365
N: 0.500 0.500 0.000
N: 0.500 0.500 0.500
N: 0.776 0.224 0.635
N: 0.776 0.224 0.865
N: 0.918 0.082 0.250



[3]
For Rb2NpH2O6, a PBE-relaxed structure gives the computed powder XRD pattern in this record (CuKα).
Neutral-atom scattering factors, no anomalous dispersion.

Principal peaks in the range 10° ≤ 2θ ≤ 90°, by angle:
d = 6.305 Å, I = 18
d = 4.657 Å, I = 21
d = 3.746 Å, I = 100
d = 2.688 Å, I = 34
d = 2.610 Å, I = 40
d = 2.184 Å, I = 28
d = 1.873 Å, I = 14
d = 1.695 Å, I = 24
d = 1.656 Å, I = 19
d = 1.537 Å, I = 14

Crystal structure
a = 5.377 Å, b = 5.377 Å, c = 6.305 Å
α = 90.00°, β = 90.00°, γ = 120.00°
Atoms (fractional coordinates):
Rb: 0.333 0.667 0.356
Rb: 0.667 0.333 0.644
Np: 0.000 0.000 0.000
H: 0.333 0.667 0.834
H: 0.667 0.333 0.166
O: 0.179 0.358 0.820
O: 0.179 0.821 0.820
O: 0.358 0.179 0.180
O: 0.642 0.821 0.820
O: 0.821 0.179 0.180
O: 0.821 0.642 0.180



[4]
For LiAg2Ir, a PBE-relaxed structure gives the computed powder XRD pattern in this record (CuKα).
Neutral-atom scattering factors, no anomalous dispersion.

Principal peaks in the range 10° ≤ 2θ ≤ 90°, by angle:
d = 5.648 Å, I = 41
d = 4.248 Å, I = 45
d = 3.395 Å, I = 29
d = 2.352 Å, I = 100
d = 2.263 Å, I = 90
d = 2.124 Å, I = 37
d = 1.941 Å, I = 56
d = 1.433 Å, I = 41
d = 1.198 Å, I = 22
d = 1.162 Å, I = 21

Crystal structure
a = 2.673 Å, b = 4.248 Å, c = 5.648 Å
α = 90.00°, β = 90.00°, γ = 90.00°
Atoms (fractional coordinates):
Li: 0.000 0.000 0.000
Ag: 0.000 0.000 0.531
Ag: 0.500 0.500 0.263
Ir: 0.500 0.500 0.777



[5]
For Nd2ScBi3, a PBE-relaxed structure gives the computed powder XRD pattern in this record (CuKα).
Neutral-atom scattering factors, no anomalous dispersion.

Principal peaks in the range 10° ≤ 2θ ≤ 90°, by angle:
d = 3.680 Å, I = 9
d = 3.183 Å, I = 100
d = 2.252 Å, I = 64
d = 2.246 Å, I = 12
d = 1.839 Å, I = 21
d = 1.592 Å, I = 13
d = 1.424 Å, I = 23
d = 1.422 Å, I = 11
d = 1.301 Å, I = 15
d = 1.298 Å, I = 10

Crystal structure
a = 7.806 Å, b = 7.806 Å, c = 7.791 Å
α = 99.66°, β = 99.66°, γ = 120.06°
Atoms (fractional coordinates):
Nd: 0.000 0.000 0.000
Nd: 0.161 0.839 0.500
Nd: 0.500 0.500 0.500
Nd: 0.839 0.161 0.500
Sc: 0.331 0.669 0.000
Sc: 0.669 0.331 0.000
Bi: 0.079 0.425 0.237
Bi: 0.270 0.270 0.770
Bi: 0.425 0.079 0.237
Bi: 0.575 0.921 0.763
Bi: 0.730 0.730 0.230
Bi: 0.921 0.575 0.763



[6]
For PmGa3Pd3, a PBE-relaxed structure gives the computed powder XRD pattern in this record (CuKα).
Neutral-atom scattering factors, no anomalous dispersion.

Principal peaks in the range 10° ≤ 2θ ≤ 90°, by angle:
d = 3.229 Å, I = 21
d = 2.796 Å, I = 21
d = 2.636 Å, I = 18
d = 2.501 Å, I = 100
d = 2.385 Å, I = 22
d = 2.194 Å, I = 32
d = 2.114 Å, I = 85
d = 1.918 Å, I = 16
d = 1.551 Å, I = 31
d = 1.220 Å, I = 18

Crystal structure
a = 7.909 Å, b = 7.909 Å, c = 7.909 Å
α = 90.00°, β = 90.00°, γ = 90.00°
Atoms (fractional coordinates):
Pm: 0.057 0.443 0.557
Pm: 0.443 0.557 0.057
Pm: 0.557 0.057 0.443
Pm: 0.943 0.943 0.943
Ga: 0.015 0.309 0.920
Ga: 0.080 0.515 0.191
Ga: 0.191 0.080 0.515
Ga: 0.309 0.920 0.015
Ga: 0.420 0.485 0.691
Ga: 0.485 0.691 0.420
Ga: 0.515 0.191 0.080
Ga: 0.580 0.985 0.809
Ga: 0.691 0.420 0.485
Ga: 0.809 0.580 0.985
Ga: 0.920 0.015 0.309
Ga: 0.985 0.809 0.580
Pd: 0.121 0.621 0.879
Pd: 0.176 0.176 0.176
Pd: 0.194 0.806 0.306
Pd: 0.306 0.194 0.806
Pd: 0.324 0.824 0.676
Pd: 0.379 0.379 0.379
Pd: 0.621 0.879 0.121
Pd: 0.676 0.324 0.824
Pd: 0.694 0.694 0.694
Pd: 0.806 0.306 0.194
Pd: 0.824 0.676 0.324
Pd: 0.879 0.121 0.621



[7]
For K3SnF7, a PBE-relaxed structure gives the computed powder XRD pattern in this record (CuKα).
Neutral-atom scattering factors, no anomalous dispersion.

Principal peaks in the range 10° ≤ 2θ ≤ 90°, by angle:
d = 5.394 Å, I = 86
d = 5.288 Å, I = 29
d = 5.190 Å, I = 61
d = 4.374 Å, I = 31
d = 3.482 Å, I = 42
d = 3.320 Å, I = 100
d = 3.269 Å, I = 51
d = 3.054 Å, I = 40
d = 2.187 Å, I = 28
d = 2.045 Å, I = 36

Crystal structure
a = 6.116 Å, b = 6.116 Å, c = 6.657 Å
α = 115.80°, β = 115.80°, γ = 88.45°
Atoms (fractional coordinates):
K: 0.000 0.000 0.000
K: 0.262 0.735 0.553
K: 0.735 0.262 0.553
Sn: 0.540 0.540 0.102
F: 0.201 0.499 0.802
F: 0.376 0.376 0.224
F: 0.379 0.839 0.242
F: 0.499 0.201 0.802
F: 0.693 0.693 0.966
F: 0.812 0.812 0.475
F: 0.839 0.379 0.242



[8]
For SnS5Br, a PBE-relaxed structure gives the computed powder XRD pattern in this record (CuKα).
Neutral-atom scattering factors, no anomalous dispersion.

Principal peaks in the range 10° ≤ 2θ ≤ 90°, by angle:
d = 7.144 Å, I = 73
d = 6.318 Å, I = 53
d = 4.986 Å, I = 54
d = 4.390 Å, I = 61
d = 4.048 Å, I = 100
d = 3.692 Å, I = 34
d = 3.520 Å, I = 31
d = 3.252 Å, I = 63
d = 2.788 Å, I = 43
d = 2.604 Å, I = 52

Crystal structure
a = 5.228 Å, b = 6.350 Å, c = 7.206 Å
α = 95.68°, β = 94.81°, γ = 90.32°
Atoms (fractional coordinates):
Sn: 0.000 0.000 0.000
S: 0.492 0.599 0.831
S: 0.499 0.852 0.018
S: 0.504 0.718 0.552
S: 0.563 0.029 0.607
S: 0.952 0.097 0.666
Br: 0.040 0.362 0.197



[9]
For Cs4Pb, a PBE-relaxed structure gives the computed powder XRD pattern in this record (CuKα).
Neutral-atom scattering factors, no anomalous dispersion.

Principal peaks in the range 10° ≤ 2θ ≤ 90°, by angle:
d = 4.243 Å, I = 65
d = 3.911 Å, I = 100
d = 3.616 Å, I = 44
d = 3.415 Å, I = 70
d = 3.297 Å, I = 63
d = 3.256 Å, I = 44
d = 3.125 Å, I = 38
d = 2.967 Å, I = 56
d = 2.194 Å, I = 41
d = 1.919 Å, I = 33

Crystal structure
a = 11.773 Å, b = 11.773 Å, c = 11.773 Å
α = 129.68°, β = 68.87°, γ = 136.22°
Atoms (fractional coordinates):
Cs: 0.074 0.703 0.776
Cs: 0.157 0.140 0.297
Cs: 0.343 0.640 0.982
Cs: 0.426 0.203 0.629
Cs: 0.574 0.797 0.371
Cs: 0.657 0.360 0.018
Cs: 0.843 0.860 0.703
Cs: 0.926 0.297 0.224
Pb: 0.250 0.250 0.000
Pb: 0.750 0.750 0.000



[10]
For Dy6NpSe8, a PBE-relaxed structure gives the computed powder XRD pattern in this record (CuKα).
Neutral-atom scattering factors, no anomalous dispersion.

Principal peaks in the range 10° ≤ 2θ ≤ 90°, by angle:
d = 6.640 Å, I = 13
d = 3.468 Å, I = 11
d = 3.320 Å, I = 17
d = 2.875 Å, I = 100
d = 2.033 Å, I = 74
d = 1.734 Å, I = 9
d = 1.660 Å, I = 26
d = 1.438 Å, I = 12
d = 1.286 Å, I = 33
d = 1.174 Å, I = 25

Crystal structure
a = 8.132 Å, b = 8.132 Å, c = 8.132 Å
α = 60.00°, β = 60.00°, γ = 60.00°
Atoms (fractional coordinates):
Dy: 0.000 0.000 0.500
Dy: 0.000 0.500 0.000
Dy: 0.000 0.500 0.500
Dy: 0.500 0.000 0.000
Dy: 0.500 0.000 0.500
Dy: 0.500 0.500 0.000
Np: 0.000 0.000 0.000
Se: 0.250 0.250 0.250
Se: 0.256 0.256 0.744
Se: 0.256 0.744 0.256
Se: 0.256 0.744 0.744
Se: 0.744 0.256 0.256
Se: 0.744 0.256 0.744
Se: 0.744 0.744 0.256
Se: 0.750 0.750 0.750



[11]
For YAg2AsSe4, a PBE-relaxed structure gives the computed powder XRD pattern in this record (CuKα).
Neutral-atom scattering factors, no anomalous dispersion.

Principal peaks in the range 10° ≤ 2θ ≤ 90°, by angle:
d = 2.854 Å, I = 100
d = 2.033 Å, I = 37
d = 2.004 Å, I = 35
d = 1.656 Å, I = 19
d = 1.625 Å, I = 6
d = 1.426 Å, I = 7
d = 1.284 Å, I = 16
d = 1.270 Å, I = 10
d = 1.174 Å, I = 6
d = 1.169 Å, I = 8

Crystal structure
a = 6.916 Å, b = 4.067 Å, c = 7.041 Å
α = 90.00°, β = 109.99°, γ = 90.00°
Atoms (fractional coordinates):
Y: 0.000 0.000 0.000
Ag: 0.500 0.000 0.500
Ag: 0.500 0.500 0.000
As: 0.000 0.500 0.500
Se: 0.241 0.000 0.736
Se: 0.241 0.500 0.259
Se: 0.759 0.000 0.264
Se: 0.759 0.500 0.741



[12]
For Er13Sc3, a PBE-relaxed structure gives the computed powder XRD pattern in this record (CuKα).
Neutral-atom scattering factors, no anomalous dispersion.

Principal peaks in the range 10° ≤ 2θ ≤ 90°, by angle:
d = 3.061 Å, I = 26
d = 2.743 Å, I = 24
d = 2.673 Å, I = 100
d = 2.043 Å, I = 16
d = 1.769 Å, I = 7
d = 1.766 Å, I = 13
d = 1.570 Å, I = 20
d = 1.486 Å, I = 22
d = 1.475 Å, I = 11
d = 1.131 Å, I = 9

Crystal structure
a = 7.077 Å, b = 8.215 Å, c = 8.215 Å
α = 83.79°, β = 90.00°, γ = 90.00°
Atoms (fractional coordinates):
Er: 0.000 0.000 0.000
Er: 0.000 0.411 0.923
Er: 0.000 0.496 0.496
Er: 0.000 0.923 0.411
Er: 0.251 0.746 0.746
Er: 0.252 0.169 0.661
Er: 0.252 0.661 0.169
Er: 0.500 0.000 0.000
Er: 0.500 0.412 0.918
Er: 0.500 0.918 0.412
Er: 0.748 0.169 0.661
Er: 0.748 0.661 0.169
Er: 0.749 0.746 0.746
Sc: 0.253 0.251 0.251
Sc: 0.500 0.494 0.494
Sc: 0.747 0.251 0.251